Entry 1:
Structure and theoretical PXRD pattern of K2Re (a PBE-relaxed structure; Cu Kα).

Structure:
Cell: 13.759 3.694 10.299 Å, 90.00 110.86 90.00°
Space group C2/m (No. 12)
Unique sites:
K: 0.019 0.000 0.184 [4 per cell]
K: 0.174 0.500 0.659 [4 per cell]
Re: 0.209 0.500 0.027 [4 per cell]

Peak list (10 most intense, 2θ from 5° to 70°, in order of rising 2θ)
two_theta  intensity  hkl
9.19  1000  0 0 1
13.57  251  2 0 -1
13.77  282  2 0 0
18.44  115  0 0 2
19.14  98  2 0 1
26.80  167  2 0 2
27.79  109  0 0 3
29.77  106  1 1 -2
31.99  162  3 1 0
35.44  103  2 0 3



Entry 2:
Structure and theoretical PXRD pattern of Tb2SmSi6 (a PBE-relaxed structure; Cu Kα).

Structure:
Cell: 7.1143 7.1143 4.0060 Å, 90.00 90.00 120.00°
Space group P6/mmm (No. 191)
Unique sites:
Tb: 0.3333 0.6667 0.0000 [2 per cell]
Sm: 0.0000 0.0000 0.0000 [1 per cell]
Si: 0.0000 0.3346 0.5000 [6 per cell]

Peak list (10 most intense, 2θ from 5° to 70°, in order of rising 2θ)
two_theta  intensity  hkl
22.19  125  0 0 1
25.03  496  1 1 0
33.70  1000  1 1 1
44.10  313  3 0 0
45.27  97  0 0 2
49.90  97  3 0 1
51.37  73  2 2 0
52.43  138  1 1 2
56.62  225  2 2 1
65.04  196  3 0 2